# Ba2In2O5
Simulated XRD peak list, Cu Kα X-rays. Input: a DFT-relaxed cell (PBE, the Materials Project).

Structure:
```
Ba2In2O5
1.0
4.1760 0.0000 0.0000
0.0000 8.7276 0.0000
0.0000 0.0000 4.3176
Ba In O
2 2 5
direct
0.0000 0.2186 0.0000
0.0000 0.7814 0.0000
0.5000 0.0000 0.5099
0.5000 0.5000 0.4333
0.0000 0.0000 0.4903
0.0000 0.5000 0.2418
0.5000 0.0000 0.0083
0.5000 0.2726 0.5592
0.5000 0.7274 0.5592
```

Principal peaks in the range 2θ from 10° to 80°, by angle:
2θ (°), Rel. int.
29.09, 873
29.61, 781
29.76, 1000
41.38, 209
41.85, 206
43.33, 327
51.80, 287
52.09, 335
53.05, 324
61.46, 159